Theoretical X-ray diffraction stick pattern
Compound: Sb2Au3F18
Radiation: Cu Ka
Structure: DFT lattice parameters and positions (PBE)
Neutral-atom scattering factors, no anomalous dispersion.

Cell and atoms:
```
Sb2Au3F18
1.0
9.5120 0.0000 0.0000
0.0000 8.7700 0.0000
-5.5436 0.0000 9.0004
Sb Au F
4 6 36
direct
0.1435 0.1251 0.3615
0.1435 0.3749 0.8615
0.8565 0.6251 0.1385
0.8565 0.8749 0.6385
0.3485 0.6658 0.7264
0.3485 0.8342 0.2264
0.5000 0.0000 0.0000
0.5000 0.5000 0.5000
0.6515 0.1658 0.7736
0.6515 0.3342 0.2736
0.0045 0.7409 0.6248
0.0045 0.7591 0.1248
0.0146 0.0986 0.1527
0.0146 0.4014 0.6527
0.0545 0.5538 0.8925
0.0545 0.9462 0.3925
0.2627 0.2133 0.8364
0.2627 0.2867 0.3364
0.3066 0.1356 0.5692
0.3066 0.3644 0.0692
0.3183 0.5170 0.8582
0.3183 0.9830 0.3582
0.3288 0.6578 0.3368
0.3288 0.8422 0.8368
0.3633 0.0068 0.1102
0.3633 0.4932 0.6102
0.3964 0.6980 0.1118
0.3964 0.8020 0.6118
0.6036 0.1980 0.3882
0.6036 0.3020 0.8882
0.6367 0.5068 0.3898
0.6367 0.9932 0.8898
0.6712 0.1578 0.1632
0.6712 0.3422 0.6632
0.6817 0.0170 0.6418
0.6817 0.4830 0.1418
0.6934 0.6356 0.9308
0.6934 0.8644 0.4308
0.7373 0.7133 0.6636
0.7373 0.7867 0.1636
0.9455 0.0538 0.6075
0.9455 0.4462 0.1075
0.9854 0.5986 0.3473
0.9854 0.9014 0.8473
0.9955 0.2409 0.8752
0.9955 0.2591 0.3752
```

Peak list (6 most intense, 10 to 90 degrees two-theta, by angle)
| d [Å] | two_theta | intensity |
| --- | --- | --- |
| 8.099 | 10.92 | 43 |
| 4.525 | 19.62 | 31 |
| 4.265 | 20.83 | 100 |
| 3.916 | 22.71 | 59 |
| 3.898 | 22.81 | 41 |
| 3.677 | 24.21 | 59 |



Theoretical X-ray diffraction stick pattern
Compound: Tb2DyY4Sc2
Radiation: Cu Ka
Structure: DFT lattice parameters and positions (PBE)
Neutral-atom scattering factors, no anomalous dispersion.

Cell and atoms:
```
Tb2DyY4Sc2
1.0
9.1889 -1.7725 0.0000
9.1889 1.7725 0.0000
-4.0729 0.0000 8.4171
Tb Dy Y Sc
2 1 4 2
direct
0.1501 0.1501 0.1754
0.8499 0.8499 0.8246
0.0000 0.0000 0.5000
0.1850 0.1850 0.8275
0.4821 0.4821 0.1675
0.5179 0.5179 0.8325
0.8150 0.8150 0.1725
0.3309 0.3309 0.5003
0.6691 0.6691 0.4997
```

Peak list (6 most intense, 10 to 90 degrees two-theta, by angle)
| d [Å] | two_theta | intensity |
| --- | --- | --- |
| 2.980 | 29.99 | 31 |
| 2.806 | 31.90 | 50 |
| 2.758 | 32.46 | 100 |
| 2.621 | 34.21 | 76 |
| 1.770 | 51.63 | 36 |
| 1.498 | 61.95 | 27 |



Theoretical X-ray diffraction stick pattern
Compound: AcLa6Pr2Nd
Radiation: Cu Ka
Structure: DFT lattice parameters and positions (PBE)
Neutral-atom scattering factors, no anomalous dispersion.

Cell and atoms:
```
AcLa6Pr2Nd
1.0
5.0081 -7.8493 0.0000
5.0081 7.8493 0.0000
-0.2931 0.0000 9.5054
Ac La Pr Nd
2 12 4 2
direct
0.0666 0.9334 0.7500
0.9334 0.0666 0.2500
0.0283 0.4718 0.3223
0.0765 0.7699 0.0884
0.2301 0.9235 0.4116
0.2796 0.5689 0.9024
0.4311 0.7204 0.5976
0.4718 0.0283 0.8223
0.5282 0.9717 0.1777
0.5689 0.2796 0.4024
0.7204 0.4311 0.0976
0.7699 0.0765 0.5884
0.9235 0.2301 0.9116
0.9717 0.5282 0.6777
0.2071 0.3029 0.5638
0.3029 0.2071 0.0638
0.6971 0.7929 0.9362
0.7929 0.6971 0.4362
0.4236 0.5764 0.2500
0.5764 0.4236 0.7500
```

Peak list (6 most intense, 10 to 90 degrees two-theta, by angle)
| d [Å] | two_theta | intensity |
| --- | --- | --- |
| 3.197 | 27.90 | 44 |
| 3.116 | 28.65 | 79 |
| 3.089 | 28.91 | 49 |
| 2.954 | 30.26 | 58 |
| 2.938 | 30.42 | 100 |
| 2.921 | 30.60 | 49 |



Theoretical X-ray diffraction stick pattern
Compound: Pr5Sn
Radiation: Cu Ka
Structure: DFT lattice parameters and positions (PBE)
Neutral-atom scattering factors, no anomalous dispersion.

Cell and atoms:
```
Pr5Sn
1.0
5.9095 0.0000 0.0000
0.0000 11.2367 0.0000
0.0000 0.0000 5.9985
Pr Sn
10 2
direct
0.0000 0.0000 0.0000
0.0000 0.1560 0.5000
0.0000 0.3435 0.0000
0.0000 0.6565 0.0000
0.0000 0.8440 0.5000
0.5000 0.1565 0.0000
0.5000 0.3440 0.5000
0.5000 0.5000 0.0000
0.5000 0.6560 0.5000
0.5000 0.8435 0.0000
0.0000 0.5000 0.5000
0.5000 0.0000 0.5000
```

Peak list (6 most intense, 10 to 90 degrees two-theta, by angle)
| d [Å] | two_theta | intensity |
| --- | --- | --- |
| 2.999 | 29.79 | 31 |
| 2.955 | 30.25 | 30 |
| 2.798 | 31.98 | 100 |
| 2.105 | 42.97 | 23 |
| 1.690 | 54.27 | 22 |
| 1.674 | 54.84 | 22 |